# Mg2CrB2Ir5
Computed powder X-ray diffraction pattern, λ = 1.5418 Å (Cu Kα). Input: a crystal structure in the Materials Project, relaxed with GGA-PBE.
Intensities are scaled so that the largest is 100.

Top 8 peaks for 10 to 90 degrees two-theta, by angle:
2theta, I (rel.)
29.69, 56
30.74, 95
33.97, 62
39.03, 85
43.26, 100
46.46, 63
50.48, 58
78.29, 56

Structure:
Cell lengths 9.516, 9.516, 2.908 Å; angles 90.00, 90.00, 90.00 degrees
Fractional coordinates of all 20 atoms:
Mg: 0.175 0.325 0.000
Mg: 0.325 0.825 0.000
Mg: 0.675 0.175 0.000
Mg: 0.825 0.675 0.000
Cr: 0.000 0.000 0.000
Cr: 0.500 0.500 0.000
B: 0.125 0.625 0.000
B: 0.375 0.125 0.000
B: 0.625 0.875 0.000
B: 0.875 0.375 0.000
Ir: 0.000 0.500 0.500
Ir: 0.073 0.787 0.500
Ir: 0.213 0.073 0.500
Ir: 0.287 0.573 0.500
Ir: 0.427 0.287 0.500
Ir: 0.500 0.000 0.500
Ir: 0.573 0.713 0.500
Ir: 0.713 0.427 0.500
Ir: 0.787 0.927 0.500
Ir: 0.927 0.213 0.500